No. 1
The following is a computed powder diffraction line list of Ba3Nb5O15. It was derived from a structure optimized by DFT (PBE), using λ = 1.5418 Å (Cu Kα).
Lines closer than 0.1° are merged.

Atomic structure:
```
Ba3Nb5O15
1.0
12.829 0.000 0.000
0.000 12.829 0.000
0.000 0.000 4.043
Ba Nb O
6 10 30
Direct
0.000 0.000 0.000
0.168 0.332 0.000
0.332 0.832 0.000
0.500 0.500 0.000
0.668 0.168 0.000
0.832 0.668 0.000
0.000 0.500 0.500
0.078 0.787 0.500
0.213 0.078 0.500
0.287 0.578 0.500
0.422 0.287 0.500
0.500 0.000 0.500
0.578 0.713 0.500
0.713 0.422 0.500
0.787 0.922 0.500
0.922 0.213 0.500
0.000 0.500 0.000
0.007 0.343 0.500
0.068 0.140 0.500
0.078 0.792 0.000
0.140 0.932 0.500
0.157 0.493 0.500
0.208 0.078 0.000
0.220 0.720 0.500
0.280 0.220 0.500
0.292 0.578 0.000
0.343 0.993 0.500
0.360 0.432 0.500
0.422 0.292 0.000
0.432 0.640 0.500
0.493 0.843 0.500
0.500 0.000 0.000
0.507 0.157 0.500
0.568 0.360 0.500
0.578 0.708 0.000
0.640 0.568 0.500
0.657 0.007 0.500
0.708 0.422 0.000
0.720 0.780 0.500
0.780 0.280 0.500
0.792 0.922 0.000
0.843 0.507 0.500
0.860 0.068 0.500
0.922 0.208 0.000
0.932 0.860 0.500
0.993 0.657 0.500
```

Most intense lines, 10° ≤ 2θ ≤ 80°, low angle first:
25.03 deg, I 20; 26.98 deg, I 49; 28.69 deg, I 46; 29.58 deg, I 25; 31.22 deg, I 100; 44.84 deg, I 22; 48.14 deg, I 13; 50.31 deg, I 15; 54.10 deg, I 15; 55.52 deg, I 15

---

No. 2
The following is a computed powder diffraction line list of Te2Mo2WSe2S2. It was derived from a structure optimized by DFT (PBE), using λ = 1.5418 Å (Cu Kα).
Lines closer than 0.1° are merged.

Atomic structure:
```
Te2Mo2WSe2S2
1.0
3.348 0.000 0.000
-1.674 2.900 0.000
0.000 0.000 31.939
Te Mo W Se S
2 2 1 2 2
Direct
0.000 0.000 0.000
0.000 0.000 0.119
0.000 0.000 0.829
0.333 0.667 0.059
0.000 0.000 0.293
0.333 0.667 0.241
0.333 0.667 0.345
0.333 0.667 0.781
0.333 0.667 0.876
```

Most intense lines, 10° ≤ 2θ ≤ 80°, low angle first:
11.08 deg, I 100; 30.84 deg, I 31; 30.97 deg, I 17; 32.86 deg, I 14; 35.25 deg, I 46; 36.72 deg, I 53; 42.09 deg, I 29; 44.14 deg, I 39; 54.87 deg, I 30; 76.18 deg, I 14

---

No. 3
The following is a computed powder diffraction line list of MgSi2. It was derived from a structure optimized by DFT (PBE), using λ = 1.5418 Å (Cu Kα).
Lines closer than 0.1° are merged.

Atomic structure:
```
MgSi2
1.0
4.802 -2.949 0.000
4.802 2.949 0.000
-0.971 0.000 7.423
Mg Si
4 8
Direct
0.082 0.082 0.184
0.386 0.386 0.746
0.614 0.614 0.254
0.918 0.918 0.816
0.068 0.661 0.446
0.141 0.548 0.124
0.339 0.932 0.554
0.452 0.859 0.876
0.548 0.141 0.124
0.661 0.068 0.446
0.859 0.452 0.876
0.932 0.339 0.554
```

Most intense lines, 10° ≤ 2θ ≤ 80°, low angle first:
28.94 deg, I 36; 36.31 deg, I 40; 37.05 deg, I 98; 37.79 deg, I 75; 38.17 deg, I 26; 38.73 deg, I 100; 39.01 deg, I 50; 43.35 deg, I 44; 52.98 deg, I 24; 66.95 deg, I 23

---

No. 4
The following is a computed powder diffraction line list of SrLiGaN2. It was derived from a structure optimized by DFT (PBE), using λ = 1.5418 Å (Cu Kα).
Lines closer than 0.1° are merged.

Atomic structure:
```
SrLiGaN2
1.0
3.063 -5.133 0.000
3.063 5.133 0.000
-0.305 0.000 12.741
Sr Li Ga N
6 6 6 12
Direct
0.052 0.052 0.257
0.166 0.834 0.000
0.179 0.821 0.500
0.821 0.179 0.500
0.834 0.166 0.000
0.948 0.948 0.743
0.187 0.553 0.318
0.405 0.405 0.081
0.447 0.813 0.682
0.553 0.187 0.318
0.595 0.595 0.919
0.813 0.447 0.682
0.186 0.511 0.812
0.392 0.392 0.589
0.489 0.814 0.188
0.511 0.186 0.812
0.608 0.608 0.411
0.814 0.489 0.188
0.137 0.455 0.657
0.147 0.503 0.149
0.251 0.251 0.891
0.281 0.281 0.433
0.455 0.137 0.657
0.497 0.853 0.851
0.503 0.147 0.149
0.545 0.863 0.343
0.719 0.719 0.567
0.749 0.749 0.109
0.853 0.497 0.851
0.863 0.545 0.343
```

Most intense lines, 10° ≤ 2θ ≤ 80°, low angle first:
18.38 deg, I 20; 30.18 deg, I 19; 30.66 deg, I 24; 32.56 deg, I 49; 32.97 deg, I 52; 33.27 deg, I 100; 36.70 deg, I 38; 41.38 deg, I 31; 46.27 deg, I 28; 53.56 deg, I 22

---

No. 5
The following is a computed powder diffraction line list of LiEuTl2. It was derived from a structure optimized by DFT (PBE), using λ = 1.5418 Å (Cu Kα).
Lines closer than 0.1° are merged.

Atomic structure:
```
LiEuTl2
1.0
7.687 0.000 0.000
0.000 7.687 0.000
0.000 0.000 7.687
Li Eu Tl
4 4 8
Direct
0.000 0.000 0.000
0.000 0.500 0.500
0.500 0.000 0.500
0.500 0.500 0.000
0.000 0.000 0.500
0.000 0.500 0.000
0.500 0.000 0.000
0.500 0.500 0.500
0.250 0.250 0.250
0.250 0.250 0.750
0.250 0.750 0.250
0.250 0.750 0.750
0.750 0.250 0.250
0.750 0.250 0.750
0.750 0.750 0.250
0.750 0.750 0.750
```

Most intense lines, 10° ≤ 2θ ≤ 80°, low angle first:
20.01 deg, I 16; 23.14 deg, I 23; 32.96 deg, I 100; 38.86 deg, I 9; 40.66 deg, I 7; 47.30 deg, I 18; 53.29 deg, I 10; 58.85 deg, I 39; 69.13 deg, I 12; 78.73 deg, I 17

---

No. 6
The following is a computed powder diffraction line list of NaAlF4. It was derived from a structure optimized by DFT (PBE), using λ = 1.5418 Å (Cu Kα).
Lines closer than 0.1° are merged.

Atomic structure:
```
NaAlF4
1.0
3.618 0.000 0.000
0.000 3.618 0.000
0.000 0.000 6.164
Na Al F
1 1 4
Direct
0.000 0.000 0.000
0.500 0.500 0.500
0.000 0.500 0.500
0.500 0.000 0.500
0.500 0.500 0.208
0.500 0.500 0.792
```

Most intense lines, 10° ≤ 2θ ≤ 80°, low angle first:
14.37 deg, I 95; 24.61 deg, I 86; 28.61 deg, I 100; 28.97 deg, I 47; 35.08 deg, I 45; 38.09 deg, I 59; 38.37 deg, I 25; 50.45 deg, I 88; 51.12 deg, I 66; 74.67 deg, I 36

---

No. 7
The following is a computed powder diffraction line list of SrLaNdCu2O6. It was derived from a structure optimized by DFT (PBE), using λ = 1.5418 Å (Cu Kα).
Lines closer than 0.1° are merged.

Atomic structure:
```
SrLaNdCu2O6
1.0
-1.937 1.937 9.979
1.937 -1.937 9.979
1.937 1.937 -9.979
Sr La Nd Cu O
1 1 1 2 6
Direct
0.000 0.000 0.000
0.361 0.361 0.000
0.179 0.179 0.000
0.589 0.589 0.000
0.768 0.768 0.000
0.103 0.603 0.500
0.259 0.759 0.500
0.472 0.472 0.000
0.603 0.103 0.500
0.759 0.259 0.500
0.878 0.878 0.000
```

Most intense lines, 10° ≤ 2θ ≤ 80°, low angle first:
23.40 deg, I 17; 32.20 deg, I 100; 32.70 deg, I 59; 39.24 deg, I 20; 42.77 deg, I 19; 46.92 deg, I 34; 57.10 deg, I 13; 58.05 deg, I 37; 68.53 deg, I 10; 78.02 deg, I 10

---

No. 8
The following is a computed powder diffraction line list of ZrZn2Ge. It was derived from a structure optimized by DFT (PBE), using λ = 1.5418 Å (Cu Kα).
Lines closer than 0.1° are merged.

Atomic structure:
```
ZrZn2Ge
1.0
4.003 0.000 0.000
0.000 4.003 0.000
0.000 0.000 17.146
Zr Zn Ge
4 8 4
Direct
0.000 0.000 0.126
0.000 0.000 0.874
0.500 0.500 0.374
0.500 0.500 0.626
0.000 0.000 0.395
0.000 0.000 0.605
0.000 0.500 0.000
0.000 0.500 0.500
0.500 0.000 0.000
0.500 0.000 0.500
0.500 0.500 0.105
0.500 0.500 0.895
0.000 0.500 0.250
0.000 0.500 0.750
0.500 0.000 0.250
0.500 0.000 0.750
```

Most intense lines, 10° ≤ 2θ ≤ 80°, low angle first:
27.20 deg, I 4; 38.10 deg, I 100; 42.16 deg, I 16; 43.31 deg, I 4; 45.31 deg, I 32; 63.61 deg, I 18; 64.11 deg, I 3; 66.01 deg, I 10; 74.37 deg, I 9; 78.84 deg, I 22

---

No. 9
The following is a computed powder diffraction line list of SrN2Cl4. It was derived from a structure optimized by DFT (PBE), using λ = 1.5418 Å (Cu Kα).
Lines closer than 0.1° are merged.

Atomic structure:
```
SrN2Cl4
1.0
6.879 0.000 0.000
0.000 6.879 0.000
0.000 0.000 6.858
Sr N Cl
2 4 8
Direct
0.000 0.000 0.000
0.500 0.500 0.500
0.000 0.500 0.000
0.000 0.500 0.500
0.500 0.000 0.000
0.500 0.000 0.500
0.250 0.250 0.250
0.250 0.250 0.750
0.250 0.750 0.250
0.250 0.750 0.750
0.750 0.250 0.250
0.750 0.250 0.750
0.750 0.750 0.250
0.750 0.750 0.750
```

Most intense lines, 10° ≤ 2θ ≤ 80°, low angle first:
18.26 deg, I 57; 31.89 deg, I 29; 37.00 deg, I 100; 41.52 deg, I 9; 49.64 deg, I 17; 53.26 deg, I 10; 56.81 deg, I 7; 66.63 deg, I 20; 66.75 deg, I 10; 69.73 deg, I 7

---

No. 10
The following is a computed powder diffraction line list of GeH3CNO. It was derived from a structure optimized by DFT (PBE), using λ = 1.5418 Å (Cu Kα).
Lines closer than 0.1° are merged.

Atomic structure:
```
GeH3CNO
1.0
8.585 0.000 0.000
0.000 8.375 0.000
0.000 0.000 7.671
Ge H C N O
4 12 4 4 4
Direct
0.245 0.250 0.181
0.255 0.750 0.681
0.745 0.250 0.319
0.755 0.750 0.819
0.156 0.097 0.141
0.156 0.403 0.141
0.189 0.750 0.866
0.311 0.250 0.366
0.344 0.597 0.641
0.344 0.903 0.641
0.656 0.097 0.359
0.656 0.403 0.359
0.689 0.750 0.634
0.811 0.250 0.134
0.844 0.597 0.859
0.844 0.903 0.859
0.014 0.750 0.402
0.486 0.250 0.902
0.514 0.750 0.098
0.986 0.250 0.598
0.077 0.750 0.543
0.423 0.250 0.043
0.577 0.750 0.957
0.923 0.250 0.457
0.057 0.250 0.731
0.443 0.750 0.231
0.557 0.250 0.769
0.943 0.750 0.269
```

Most intense lines, 10° ≤ 2θ ≤ 80°, low angle first:
15.67 deg, I 55; 18.79 deg, I 43; 21.22 deg, I 81; 25.43 deg, I 27; 26.06 deg, I 100; 33.36 deg, I 25; 38.27 deg, I 21; 40.29 deg, I 28; 49.00 deg, I 16; 53.62 deg, I 14

---

No. 11
The following is a computed powder diffraction line list of Na2Ca5TiSi4O16F2. It was derived from a structure optimized by DFT (PBE), using λ = 1.5418 Å (Cu Kα).
Lines closer than 0.1° are merged.

Atomic structure:
```
Na2Ca5TiSi4O16F2
1.0
5.810 0.000 0.000
0.006 7.441 0.000
1.939 1.875 9.407
Na Ca Ti Si O F
2 5 1 4 16 2
Direct
0.000 0.000 0.000
0.220 0.906 0.365
0.206 0.411 0.360
0.489 0.736 0.012
0.501 0.264 0.990
0.788 0.090 0.634
0.790 0.591 0.638
0.997 0.500 0.996
0.249 0.853 0.715
0.252 0.285 0.720
0.748 0.147 0.282
0.748 0.713 0.277
0.057 0.834 0.620
0.079 0.360 0.613
0.166 0.331 0.881
0.192 0.719 0.875
0.213 0.059 0.757
0.247 0.468 0.105
0.471 0.655 0.320
0.476 0.173 0.355
0.525 0.835 0.645
0.532 0.336 0.673
0.750 0.532 0.895
0.781 0.940 0.244
0.806 0.278 0.122
0.834 0.671 0.115
0.908 0.629 0.389
0.923 0.172 0.387
0.315 0.981 0.104
0.692 0.022 0.884
```

Most intense lines, 10° ≤ 2θ ≤ 80°, low angle first:
28.47 deg, I 46; 29.60 deg, I 100; 33.36 deg, I 24; 35.33 deg, I 20; 39.39 deg, I 11; 40.20 deg, I 10; 47.01 deg, I 15; 47.06 deg, I 15; 48.97 deg, I 21; 53.57 deg, I 21